For Al3Pb5F19, a DFT-relaxed cell (GGA-PBE, the Materials Project) gives the simulated powder X-ray diffraction pattern in this record (copper Kα).
No peak broadening, texture or thermal motion is included.

Structure:
```
data_Al3Pb5F19
_space_group_name_H-M_alt 'I 4/m'
_space_group_IT_number 87
_space_group_name_Hall '-I 4'
_cell_length_a 14.488
_cell_length_b 14.488
_cell_length_c 7.309
_cell_angle_alpha 90.00
_cell_angle_beta 90.00
_cell_angle_gamma 90.00
loop_
_atom_site_label
_atom_site_fract_x
_atom_site_fract_y
_atom_site_fract_z
Al1 0.000 0.000 0.247
Al2 0.158 0.325 0.000
Pb1 0.000 0.500 0.250
Pb2 0.058 0.219 0.500
Pb3 0.083 0.759 0.000
F1 0.000 0.000 0.000
F2 0.000 0.000 0.500
F3 0.047 0.389 0.000
F4 0.049 0.884 0.254
F5 0.080 0.379 0.500
F6 0.093 0.700 0.327
F7 0.107 0.250 0.173
F8 0.236 0.243 0.500
```

Principal peaks in the range 5 to 70 degrees two-theta, low angle first:
two_theta, Rel. int.
18.30, 477
25.29, 864
27.33, 377
27.53, 698
28.18, 1000
30.04, 728
40.20, 447
45.00, 373